Diffraction record for Na4CoMo3O12. The powder diffractogram is theoretical, not measured: it uses a crystal structure in Alexandria, relaxed with GGA+U and λ = 1.5418 Å (Cu Kα).

Main lines, by angle (2θ = 10–90°):
d_spacing	2θ/deg	I (rel.)
4.363	20.36	40
3.882	22.91	52
3.493	25.50	54
2.993	29.86	100
2.940	30.40	33
2.882	31.03	32
2.847	31.42	33
2.108	42.91	29

Structural model:
abc: 9.4217 9.4217 7.2549
angles: 104.87 104.87 95.11
Fractional coordinates of all 40 atoms:
Na1 0.0000 0.0000 0.0000
Na2 0.0390 0.3783 0.3738
Na3 0.2563 0.7437 0.0000
Na4 0.4694 0.5137 0.7518
Na5 0.4863 0.5306 0.2482
Na6 0.6217 0.9610 0.6262
Na7 0.7121 0.2879 0.5000
Na8 0.9612 0.0388 0.5000
Co1 0.3647 0.0653 0.8811
Co2 0.9347 0.6353 0.1189
Mo1 0.1104 0.3490 0.8817
Mo2 0.2636 0.7363 0.5000
Mo3 0.3215 0.1328 0.3750
Mo4 0.6510 0.8896 0.1183
Mo5 0.6913 0.3087 0.0000
Mo6 0.8672 0.6785 0.6250
O1 0.0197 0.4236 0.0687
O2 0.1268 0.1466 0.3315
O3 0.1425 0.7566 0.2683
O4 0.1596 0.1669 0.8886
O5 0.2434 0.8575 0.7317
O6 0.2446 0.5535 0.5234
O7 0.2744 0.4784 0.9255
O8 0.3437 0.0164 0.1457
O9 0.3745 0.0546 0.5800
O10 0.4351 0.3110 0.4443
O11 0.4465 0.7554 0.4766
O12 0.4946 0.2735 0.9851
O13 0.5216 0.7256 0.0745
O14 0.5764 0.9803 0.9313
O15 0.6820 0.0148 0.3611
O16 0.6890 0.5649 0.5557
O17 0.7265 0.5054 0.0149
O18 0.7302 0.2043 0.7821
O19 0.7957 0.2698 0.2179
O20 0.8331 0.8404 0.1114
O21 0.8534 0.8732 0.6685
O22 0.9454 0.6255 0.4200
O23 0.9836 0.6563 0.8543
O24 0.9852 0.3180 0.6389